Starting from DFT lattice parameters and positions (GGA-PBE), the X-ray diffraction stick pattern of CsNdTeBr2 was calculated for Cu Kα (λ = 1.5418 Å).
Peak positions follow from Bragg's law for the DFT cell and can differ from measured ones.

Structural model:
```
data_CsNdTeBr2
_space_group_name_H-M_alt 'C m c m'
_space_group_IT_number 63
_space_group_name_Hall '-C 2c 2'
_cell_length_a 4.594
_cell_length_b 20.067
_cell_length_c 9.062
_cell_angle_alpha 90.00
_cell_angle_beta 90.00
_cell_angle_gamma 90.00
loop_
_atom_site_label
_atom_site_type_symbol
_atom_site_fract_x
_atom_site_fract_y
_atom_site_fract_z
Cs1 Cs 0.000 0.208 0.250
Nd1 Nd 0.000 0.500 0.000
Te1 Te 0.000 0.006 0.250
Br1 Br 0.000 0.357 0.017
```

Peak list (6 most intense, 5 to 70 degrees two-theta, sorted by position)
Position (°2θ)	I (rel.)
8.81	29
22.14	23
26.65	24
28.01	100
35.72	49
39.22	20